[1]
The following is a computed X-ray diffraction stick pattern of La3CeNd. It was derived from a DFT-relaxed cell (PBE, Alexandria), using Cu Kα, 1.54184 Å.
Kinematic intensities with the Lorentz-polarization factor, no thermal factor.

The 12 most intense peaks (2θ from 10° to 90°), by angle:
d (Å)	Position (°2θ)	Rel. int.	(hkl)
3.861	23.0	11.4	1 1 0
3.362	26.5	15.8	0 0 2
2.996	29.8	100.0	2 0 1
2.528	35.5	16.2	2 1 0
2.370	38.0	37.8	2 0 2
1.930	47.1	20.8	2 2 0
1.862	48.9	20.9	2 0 3
1.674	54.8	7.7	2 2 2
1.623	56.7	17.6	4 0 1
1.497	62.0	7.5	4 0 2
1.396	67.1	10.1	3 2 2
1.268	74.9	10.4	2 2 4

a = 7.7218 Å, b = 7.7218 Å, c = 6.7238 Å
α = 90.00°, β = 90.00°, γ = 120.00°
Positions (direct):
La1 0.1892 0.3783 0.2500
La2 0.1892 0.8108 0.2500
La3 0.3783 0.1892 0.7500
La4 0.6217 0.8108 0.2500
La5 0.8108 0.1892 0.7500
La6 0.8108 0.6217 0.7500
Ce1 0.0000 0.0000 0.0000
Ce2 0.0000 0.0000 0.5000
Nd1 0.3333 0.6667 0.7500
Nd2 0.6667 0.3333 0.2500

[2]
The following is a computed X-ray diffraction stick pattern of LaCe2Nd. It was derived from a DFT-relaxed cell (PBE, Alexandria), using Cu Kα, 1.54184 Å.
Kinematic intensities with the Lorentz-polarization factor, no thermal factor.

The 12 most intense peaks (2θ from 10° to 90°), by angle:
d (Å)	Position (°2θ)	Rel. int.	(hkl)
2.893	30.9	100.0	1 0 2
2.560	35.0	17.8	0 0 4
2.479	36.2	32.7	1 1 0
1.781	51.3	24.1	1 1 4
1.753	52.2	11.5	2 0 0
1.535	60.3	14.7	1 0 6
1.499	61.9	27.4	2 1 2
1.446	64.4	12.1	2 0 4
1.155	83.8	11.7	2 1 6
1.139	85.2	5.7	3 0 2
1.137	85.3	5.6	1 1 8
1.116	87.4	5.4	2 2 4

a = 3.5061 Å, b = 3.5061 Å, c = 10.2409 Å
α = 90.00°, β = 90.00°, γ = 90.00°
Positions (direct):
La1 0.0000 0.0000 0.0000
Ce1 0.5000 0.5000 0.2467
Ce2 0.5000 0.5000 0.7533
Nd1 0.0000 0.0000 0.5000